Computed XRD peak list of Tb8Tm2Sn for a wavelength of 1.5418 Å, from DFT lattice parameters and positions (PBE).
Lines closer than 0.1° are merged.

```
data_Tb8Tm2Sn
_chemical_formula_sum 'Tb16 Tm4 Sn2'
_symmetry_space_group_name_H-M 'C 1 2/m 1'
_symmetry_Int_Tables_number 12
_symmetry_space_group_name_Hall '-C 2y'
_cell_length_a 19.3511
_cell_length_b 5.5340
_cell_length_c 6.4237
_cell_angle_alpha 90.00
_cell_angle_beta 94.79
_cell_angle_gamma 90.00
loop_
_atom_site_label
_atom_site_fract_x
_atom_site_fract_y
_atom_site_fract_z
Tb1 0.0439 0.0000 0.2625
Tb2 0.0791 0.5000 0.5981
Tb3 0.1557 0.0000 0.8026
Tb4 0.1623 0.5000 0.1219
Tm1 0.2426 0.0000 0.3384
Sn1 0.0000 0.5000 0.0000
```

Largest 6 diffraction maxima, by angle, 2θ from 10° to 90°:
2θ = 30.1°, I 27.2, (6 0 -1)
2θ = 30.6°, I 16.9, (5 1 -1)
2θ = 32.3°, I 100.0, (0 2 0)
2θ = 32.4°, I 68.1, (5 1 1)
2θ = 44.7°, I 18.3, (6 2 -1)
2θ = 57.7°, I 15.2, (1 3 -2)